(1)
For Ta6O, the GGA-PBE geometry in the Materials Project gives the theoretical powder X-ray diffraction pattern in this record (Cu Kα (λ = 1.5418 Å)).
No peak broadening, texture or thermal motion is included.

Cell and atoms:
```
data_Ta6O
_symmetry_space_group_name_H-M 'P 1'
_symmetry_Int_Tables_number 1
_cell_length_a 4.8895
_cell_length_b 9.7256
_cell_length_c 4.8995
_cell_angle_alpha 90.00
_cell_angle_beta 95.82
_cell_angle_gamma 90.00
loop_
_symmetry_equiv_pos_as_xyz
'x,y,z'
loop_
_atom_site_label
_atom_site_fract_x
_atom_site_fract_y
_atom_site_fract_z
Ta1 0.2171 0.0000 0.2864
Ta2 0.2190 0.5000 0.7881
Ta3 0.2536 0.3320 0.2599
Ta4 0.2536 0.6680 0.2599
Ta5 0.2547 0.1680 0.7587
Ta6 0.2547 0.8320 0.7587
Ta7 0.7453 0.1680 0.2413
Ta8 0.7453 0.8320 0.2413
Ta9 0.7464 0.3320 0.7401
Ta10 0.7464 0.6680 0.7401
Ta11 0.7810 0.5000 0.2119
Ta12 0.7829 0.0000 0.7136
O1 0.5000 0.0000 0.0000
O2 0.5000 0.5000 0.5000
```

Peak list (10 most intense, 15° ≤ 2θ ≤ 90°, in order of rising 2θ)
- 2θ = 36.92°, intensity 100
- 2θ = 37.17°, intensity 99
- 2θ = 39.06°, intensity 97
- 2θ = 50.24°, intensity 19
- 2θ = 56.06°, intensity 17
- 2θ = 56.80°, intensity 17
- 2θ = 65.36°, intensity 16
- 2θ = 65.46°, intensity 17
- 2θ = 69.25°, intensity 16
- 2θ = 69.72°, intensity 17

(2)
For NpCu2Ge2, the GGA-PBE geometry in the Materials Project gives the theoretical powder X-ray diffraction pattern in this record (Cu Kα (λ = 1.5418 Å)).
No peak broadening, texture or thermal motion is included.

Cell and atoms:
```
data_NpCu2Ge2
_symmetry_space_group_name_H-M 'P 1'
_symmetry_Int_Tables_number 1
_cell_length_a 5.9395
_cell_length_b 5.9395
_cell_length_c 5.9395
_cell_angle_alpha 140.61
_cell_angle_beta 140.61
_cell_angle_gamma 56.93
loop_
_symmetry_equiv_pos_as_xyz
'x,y,z'
loop_
_atom_site_label
_atom_site_fract_x
_atom_site_fract_y
_atom_site_fract_z
Np1 0.0000 0.0000 0.0000
Cu1 0.2500 0.7500 0.5000
Cu2 0.7500 0.2500 0.5000
Ge1 0.3827 0.3827 0.0000
Ge2 0.6173 0.6173 0.0000
```

Peak list (10 most intense, 15° ≤ 2θ ≤ 90°, in order of rising 2θ)
- 2θ = 23.80°, intensity 27
- 2θ = 31.61°, intensity 28
- 2θ = 34.13°, intensity 81
- 2θ = 36.09°, intensity 100
- 2θ = 45.30°, intensity 48
- 2θ = 49.21°, intensity 37
- 2θ = 57.92°, intensity 36
- 2θ = 66.00°, intensity 15
- 2θ = 69.10°, intensity 27
- 2θ = 77.60°, intensity 21

(3)
For KCaCl3, the GGA-PBE geometry in the Materials Project gives the theoretical powder X-ray diffraction pattern in this record (Cu Kα (λ = 1.5418 Å)).
No peak broadening, texture or thermal motion is included.

Cell and atoms:
```
data_KCaCl3
_symmetry_space_group_name_H-M 'P 1'
_symmetry_Int_Tables_number 1
_cell_length_a 5.3935
_cell_length_b 5.3935
_cell_length_c 5.3935
_cell_angle_alpha 90.00
_cell_angle_beta 90.00
_cell_angle_gamma 90.00
loop_
_symmetry_equiv_pos_as_xyz
'x,y,z'
loop_
_atom_site_label
_atom_site_fract_x
_atom_site_fract_y
_atom_site_fract_z
K1 0.0000 0.0000 0.0000
Ca1 0.5000 0.5000 0.5000
Cl1 0.0000 0.5000 0.5000
Cl2 0.5000 0.0000 0.5000
Cl3 0.5000 0.5000 0.0000
```

Peak list (10 most intense, 15° ≤ 2θ ≤ 90°, in order of rising 2θ)
- 2θ = 16.44°, intensity 26
- 2θ = 23.32°, intensity 31
- 2θ = 28.67°, intensity 64
- 2θ = 33.22°, intensity 100
- 2θ = 40.99°, intensity 13
- 2θ = 47.69°, intensity 63
- 2θ = 56.60°, intensity 21
- 2θ = 59.36°, intensity 20
- 2θ = 79.47°, intensity 25
- 2θ = 88.89°, intensity 19

(4)
For BaTcO3, the GGA-PBE geometry in the Materials Project gives the theoretical powder X-ray diffraction pattern in this record (Cu Kα (λ = 1.5418 Å)).
No peak broadening, texture or thermal motion is included.

Cell and atoms:
```
data_BaTcO3
_symmetry_space_group_name_H-M 'P 1'
_symmetry_Int_Tables_number 1
_cell_length_a 5.8440
_cell_length_b 5.8440
_cell_length_c 14.1162
_cell_angle_alpha 90.00
_cell_angle_beta 90.00
_cell_angle_gamma 120.00
loop_
_symmetry_equiv_pos_as_xyz
'x,y,z'
loop_
_atom_site_label
_atom_site_fract_x
_atom_site_fract_y
_atom_site_fract_z
Ba1 0.0000 0.0000 0.2500
Ba2 0.0000 0.0000 0.7500
Ba3 0.3333 0.6667 0.0925
Ba4 0.3333 0.6667 0.4075
Ba5 0.6667 0.3333 0.5925
Ba6 0.6667 0.3333 0.9075
Tc1 0.0000 0.0000 0.0000
Tc2 0.0000 0.0000 0.5000
Tc3 0.3333 0.6667 0.6613
Tc4 0.3333 0.6667 0.8387
Tc5 0.6667 0.3333 0.1613
Tc6 0.6667 0.3333 0.3387
O1 0.0142 0.5071 0.7500
O2 0.1656 0.3311 0.5816
O3 0.1656 0.3311 0.9184
O4 0.1656 0.8344 0.5816
O5 0.1656 0.8344 0.9184
O6 0.3311 0.1656 0.0816
O7 0.3311 0.1656 0.4184
O8 0.4929 0.5071 0.7500
O9 0.4929 0.9858 0.7500
O10 0.5071 0.0142 0.2500
O11 0.5071 0.4929 0.2500
O12 0.6689 0.8344 0.5816
O13 0.6689 0.8344 0.9184
O14 0.8344 0.1656 0.0816
O15 0.8344 0.1656 0.4184
O16 0.8344 0.6689 0.0816
O17 0.8344 0.6689 0.4184
O18 0.9858 0.4929 0.2500
```

Peak list (10 most intense, 15° ≤ 2θ ≤ 90°, in order of rising 2θ)
- 2θ = 25.85°, intensity 24
- 2θ = 30.60°, intensity 100
- 2θ = 30.89°, intensity 60
- 2θ = 36.44°, intensity 12
- 2θ = 40.47°, intensity 19
- 2θ = 44.03°, intensity 35
- 2θ = 48.60°, intensity 11
- 2θ = 54.38°, intensity 20
- 2θ = 54.57°, intensity 24
- 2θ = 63.70°, intensity 19

(5)
For K2NdP2S7, the GGA-PBE geometry in the Materials Project gives the theoretical powder X-ray diffraction pattern in this record (Cu Kα (λ = 1.5418 Å)).
No peak broadening, texture or thermal motion is included.

Cell and atoms:
```
data_K2NdP2S7
_symmetry_space_group_name_H-M 'P 1'
_symmetry_Int_Tables_number 1
_cell_length_a 9.2270
_cell_length_b 6.9496
_cell_length_c 21.4202
_cell_angle_alpha 90.00
_cell_angle_beta 109.72
_cell_angle_gamma 90.00
loop_
_symmetry_equiv_pos_as_xyz
'x,y,z'
loop_
_atom_site_label
_atom_site_fract_x
_atom_site_fract_y
_atom_site_fract_z
K1 0.1622 0.0425 0.3165
K2 0.1622 0.4575 0.8165
K3 0.2473 0.5129 0.4903
K4 0.2473 0.9871 0.9903
K5 0.7527 0.0129 0.0097
K6 0.7527 0.4871 0.5097
K7 0.8378 0.5425 0.1835
K8 0.8378 0.9575 0.6835
Nd1 0.3414 0.0329 0.6511
Nd2 0.3414 0.4671 0.1511
Nd3 0.6586 0.5329 0.8489
Nd4 0.6586 0.9671 0.3489
P1 0.0370 0.0107 0.4558
P2 0.0370 0.4893 0.9558
P3 0.4309 0.5126 0.3288
P4 0.4309 0.9874 0.8288
P5 0.5691 0.0126 0.1712
P6 0.5691 0.4874 0.6712
P7 0.9630 0.5107 0.0442
P8 0.9630 0.9893 0.5442
S1 0.0443 0.2326 0.5984
S2 0.0443 0.2674 0.0984
S3 0.0767 0.7409 0.0971
S4 0.0767 0.7591 0.5971
S5 0.2175 0.0255 0.7586
S6 0.2175 0.4745 0.2586
S7 0.2680 0.0365 0.4940
S8 0.2680 0.4635 0.9940
S9 0.4181 0.0790 0.2207
S10 0.4181 0.4210 0.7207
S11 0.4362 0.7417 0.3896
S12 0.4362 0.7583 0.8896
S13 0.4912 0.2239 0.8894
S14 0.4912 0.2761 0.3894
S15 0.5088 0.7239 0.6106
S16 0.5088 0.7761 0.1106
S17 0.5638 0.2417 0.1104
S18 0.5638 0.2583 0.6104
S19 0.5819 0.5790 0.2793
S20 0.5819 0.9210 0.7793
S21 0.7320 0.5365 0.0060
S22 0.7320 0.9635 0.5060
S23 0.7825 0.5255 0.7414
S24 0.7825 0.9745 0.2414
S25 0.9233 0.2409 0.4029
S26 0.9233 0.2591 0.9029
S27 0.9557 0.7326 0.9016
S28 0.9557 0.7674 0.4016
```

Peak list (10 most intense, 15° ≤ 2θ ≤ 90°, in order of rising 2θ)
- 2θ = 15.99°, intensity 100
- 2θ = 18.36°, intensity 53
- 2θ = 23.28°, intensity 58
- 2θ = 24.97°, intensity 66
- 2θ = 25.64°, intensity 57
- 2θ = 27.73°, intensity 58
- 2θ = 30.85°, intensity 58
- 2θ = 32.31°, intensity 77
- 2θ = 33.01°, intensity 55
- 2θ = 37.22°, intensity 69

(6)
For KAuI4O12, the GGA-PBE geometry in the Materials Project gives the theoretical powder X-ray diffraction pattern in this record (Cu Kα (λ = 1.5418 Å)).
No peak broadening, texture or thermal motion is included.

Cell and atoms:
```
data_KAuI4O12
_symmetry_space_group_name_H-M 'P 1'
_symmetry_Int_Tables_number 1
_cell_length_a 7.4319
_cell_length_b 7.4319
_cell_length_c 8.5149
_cell_angle_alpha 107.50
_cell_angle_beta 107.50
_cell_angle_gamma 44.99
loop_
_symmetry_equiv_pos_as_xyz
'x,y,z'
loop_
_atom_site_label
_atom_site_fract_x
_atom_site_fract_y
_atom_site_fract_z
K1 0.0000 0.0000 0.0000
Au1 0.1908 0.8092 0.5000
I1 0.2588 0.3791 0.1657
I2 0.3466 0.3532 0.6593
I3 0.6209 0.7412 0.8343
I4 0.6468 0.6534 0.3407
O1 0.0457 0.3501 0.1907
O2 0.0684 0.7269 0.2699
O3 0.0721 0.6944 0.5970
O4 0.1153 0.4895 0.9612
O5 0.2731 0.9316 0.7301
O6 0.3056 0.9279 0.4030
O7 0.5023 0.1976 0.4721
O8 0.5105 0.8847 0.0388
O9 0.5475 0.4048 0.8037
O10 0.5952 0.4525 0.1963
O11 0.6499 0.9543 0.8093
O12 0.8024 0.4977 0.5279
```

Peak list (10 most intense, 15° ≤ 2θ ≤ 90°, in order of rising 2θ)
- 2θ = 17.02°, intensity 67
- 2θ = 19.04°, intensity 43
- 2θ = 25.36°, intensity 33
- 2θ = 25.87°, intensity 93
- 2θ = 26.15°, intensity 100
- 2θ = 29.18°, intensity 44
- 2θ = 29.70°, intensity 67
- 2θ = 33.41°, intensity 21
- 2θ = 34.43°, intensity 24
- 2θ = 50.71°, intensity 21

(7)
For NdPO4, the GGA-PBE geometry in the Materials Project gives the theoretical powder X-ray diffraction pattern in this record (Cu Kα (λ = 1.5418 Å)).
No peak broadening, texture or thermal motion is included.

Cell and atoms:
```
data_NdPO4
_symmetry_space_group_name_H-M 'P 1'
_symmetry_Int_Tables_number 1
_cell_length_a 7.1674
_cell_length_b 7.1674
_cell_length_c 6.4019
_cell_angle_alpha 90.00
_cell_angle_beta 90.00
_cell_angle_gamma 120.00
loop_
_symmetry_equiv_pos_as_xyz
'x,y,z'
loop_
_atom_site_label
_atom_site_fract_x
_atom_site_fract_y
_atom_site_fract_z
Nd1 0.0000 0.5000 0.1667
Nd2 0.5000 0.0000 0.5000
Nd3 0.5000 0.5000 0.8333
P1 0.0000 0.5000 0.6667
P2 0.5000 0.0000 0.0000
P3 0.5000 0.5000 0.3333
O1 0.1371 0.4460 0.8157
O2 0.1371 0.6911 0.5176
O3 0.3089 0.4460 0.1843
O4 0.3089 0.8629 0.1491
O5 0.4460 0.1371 0.8509
O6 0.4460 0.3089 0.4824
O7 0.5540 0.6911 0.4824
O8 0.5540 0.8629 0.8509
O9 0.6911 0.1371 0.1491
O10 0.6911 0.5540 0.1843
O11 0.8629 0.3089 0.5176
O12 0.8629 0.5540 0.8157
```

Peak list (10 most intense, 15° ≤ 2θ ≤ 90°, in order of rising 2θ)
- 2θ = 19.92°, intensity 69
- 2θ = 24.84°, intensity 22
- 2θ = 28.77°, intensity 100
- 2θ = 31.45°, intensity 75
- 2θ = 37.68°, intensity 27
- 2θ = 40.97°, intensity 39
- 2θ = 46.10°, intensity 22
- 2θ = 48.08°, intensity 49
- 2θ = 52.67°, intensity 25
- 2θ = 82.21°, intensity 22

(8)
For TmBO3, the GGA-PBE geometry in the Materials Project gives the theoretical powder X-ray diffraction pattern in this record (Cu Kα (λ = 1.5418 Å)).
No peak broadening, texture or thermal motion is included.

Cell and atoms:
```
data_TmBO3
_symmetry_space_group_name_H-M 'P 1'
_symmetry_Int_Tables_number 1
_cell_length_a 6.5637
_cell_length_b 6.5637
_cell_length_c 8.6862
_cell_angle_alpha 90.00
_cell_angle_beta 90.00
_cell_angle_gamma 120.00
loop_
_symmetry_equiv_pos_as_xyz
'x,y,z'
loop_
_atom_site_label
_atom_site_fract_x
_atom_site_fract_y
_atom_site_fract_z
Tm1 0.0000 0.0000 0.0000
Tm2 0.0000 0.0000 0.5000
Tm3 0.3333 0.6667 0.0000
Tm4 0.3333 0.6667 0.5000
Tm5 0.6667 0.3333 0.0000
Tm6 0.6667 0.3333 0.5000
B1 0.0000 0.4001 0.2500
B2 0.0000 0.5999 0.7500
B3 0.4001 0.0000 0.2500
B4 0.4001 0.4001 0.7500
B5 0.5999 0.0000 0.7500
B6 0.5999 0.5999 0.2500
O1 0.0000 0.3127 0.1028
O2 0.0000 0.3127 0.3972
O3 0.0000 0.3947 0.7500
O4 0.0000 0.6053 0.2500
O5 0.0000 0.6873 0.6028
O6 0.0000 0.6873 0.8972
O7 0.3127 0.0000 0.1028
O8 0.3127 0.0000 0.3972
O9 0.3127 0.3127 0.6028
O10 0.3127 0.3127 0.8972
O11 0.3947 0.0000 0.7500
O12 0.3947 0.3947 0.2500
O13 0.6053 0.0000 0.2500
O14 0.6053 0.6053 0.7500
O15 0.6873 0.0000 0.6028
O16 0.6873 0.0000 0.8972
O17 0.6873 0.6873 0.1028
O18 0.6873 0.6873 0.3972
```

Peak list (10 most intense, 15° ≤ 2θ ≤ 90°, in order of rising 2θ)
- 2θ = 20.45°, intensity 44
- 2θ = 27.17°, intensity 57
- 2θ = 34.25°, intensity 100
- 2θ = 48.02°, intensity 28
- 2θ = 50.39°, intensity 32
- 2θ = 52.71°, intensity 26
- 2θ = 60.29°, intensity 18
- 2θ = 65.36°, intensity 13
- 2θ = 71.19°, intensity 14
- 2θ = 80.53°, intensity 16

(9)
For Zr2SeN2, the GGA-PBE geometry in the Materials Project gives the theoretical powder X-ray diffraction pattern in this record (Cu Kα (λ = 1.5418 Å)).
No peak broadening, texture or thermal motion is included.

Cell and atoms:
```
data_Zr2SeN2
_symmetry_space_group_name_H-M 'P 1'
_symmetry_Int_Tables_number 1
_cell_length_a 3.6837
_cell_length_b 3.6837
_cell_length_c 13.3242
_cell_angle_alpha 90.00
_cell_angle_beta 90.00
_cell_angle_gamma 120.00
loop_
_symmetry_equiv_pos_as_xyz
'x,y,z'
loop_
_atom_site_label
_atom_site_fract_x
_atom_site_fract_y
_atom_site_fract_z
Zr1 0.3333 0.6667 0.0985
Zr2 0.3333 0.6667 0.4015
Zr3 0.6667 0.3333 0.5985
Zr4 0.6667 0.3333 0.9015
Se1 0.0000 0.0000 0.2500
Se2 0.0000 0.0000 0.7500
N1 0.3333 0.6667 0.5669
N2 0.3333 0.6667 0.9331
N3 0.6667 0.3333 0.0669
N4 0.6667 0.3333 0.4331
```

Peak list (10 most intense, 15° ≤ 2θ ≤ 90°, in order of rising 2θ)
- 2θ = 28.78°, intensity 60
- 2θ = 31.08°, intensity 100
- 2θ = 34.62°, intensity 91
- 2θ = 39.10°, intensity 88
- 2θ = 40.63°, intensity 37
- 2θ = 49.49°, intensity 77
- 2θ = 56.28°, intensity 29
- 2θ = 64.81°, intensity 19
- 2θ = 65.88°, intensity 49
- 2θ = 85.68°, intensity 18

(10)
For Tb3In5, the GGA-PBE geometry in the Materials Project gives the theoretical powder X-ray diffraction pattern in this record (Cu Kα (λ = 1.5418 Å)).
No peak broadening, texture or thermal motion is included.

Cell and atoms:
```
data_Tb3In5
_symmetry_space_group_name_H-M 'P 1'
_symmetry_Int_Tables_number 1
_cell_length_a 6.4422
_cell_length_b 6.4422
_cell_length_c 10.3854
_cell_angle_alpha 90.00
_cell_angle_beta 90.00
_cell_angle_gamma 77.85
loop_
_symmetry_equiv_pos_as_xyz
'x,y,z'
loop_
_atom_site_label
_atom_site_fract_x
_atom_site_fract_y
_atom_site_fract_z
Tb1 0.1299 0.8701 0.7500
Tb2 0.2971 0.2971 0.0000
Tb3 0.2971 0.2971 0.5000
Tb4 0.7029 0.7029 0.0000
Tb5 0.7029 0.7029 0.5000
Tb6 0.8701 0.1299 0.2500
In1 0.0060 0.4298 0.7500
In2 0.1893 0.8107 0.0473
In3 0.1893 0.8107 0.4527
In4 0.4298 0.0060 0.2500
In5 0.4865 0.5135 0.2500
In6 0.5135 0.4865 0.7500
In7 0.5702 0.9940 0.7500
In8 0.8107 0.1893 0.5473
In9 0.8107 0.1893 0.9527
In10 0.9940 0.5702 0.2500
```

Peak list (10 most intense, 15° ≤ 2θ ≤ 90°, in order of rising 2θ)
- 2θ = 29.44°, intensity 15
- 2θ = 33.28°, intensity 100
- 2θ = 33.77°, intensity 25
- 2θ = 34.42°, intensity 30
- 2θ = 34.55°, intensity 38
- 2θ = 35.83°, intensity 26
- 2θ = 38.65°, intensity 22
- 2θ = 39.08°, intensity 22
- 2θ = 57.25°, intensity 17
- 2θ = 66.67°, intensity 15

(11)
For Ba2H4Pd, the GGA-PBE geometry in the Materials Project gives the theoretical powder X-ray diffraction pattern in this record (Cu Kα (λ = 1.5418 Å)).
No peak broadening, texture or thermal motion is included.

Cell and atoms:
```
data_Ba2H4Pd
_symmetry_space_group_name_H-M 'P 1'
_symmetry_Int_Tables_number 1
_cell_length_a 8.1433
_cell_length_b 5.8135
_cell_length_c 10.2849
_cell_angle_alpha 90.00
_cell_angle_beta 90.00
_cell_angle_gamma 90.00
loop_
_symmetry_equiv_pos_as_xyz
'x,y,z'
loop_
_atom_site_label
_atom_site_fract_x
_atom_site_fract_y
_atom_site_fract_z
Ba1 0.0109 0.2500 0.1673
Ba2 0.1467 0.7500 0.4054
Ba3 0.3533 0.2500 0.9054
Ba4 0.4891 0.7500 0.6673
Ba5 0.5109 0.2500 0.3327
Ba6 0.6467 0.7500 0.0946
Ba7 0.8533 0.2500 0.5946
Ba8 0.9891 0.7500 0.8327
H1 0.0240 0.7500 0.1077
H2 0.1746 0.2500 0.4204
H3 0.1793 0.5060 0.6555
H4 0.1793 0.9940 0.6555
H5 0.3207 0.0060 0.1555
H6 0.3207 0.4940 0.1555
H7 0.3254 0.7500 0.9204
H8 0.4760 0.2500 0.6077
H9 0.5240 0.7500 0.3923
H10 0.6746 0.2500 0.0796
H11 0.6793 0.5060 0.8445
H12 0.6793 0.9940 0.8445
H13 0.8207 0.0060 0.3445
H14 0.8207 0.4940 0.3445
H15 0.8254 0.7500 0.5796
H16 0.9760 0.2500 0.8923
Pd1 0.2416 0.7500 0.0825
Pd2 0.2584 0.2500 0.5825
Pd3 0.7416 0.7500 0.4175
Pd4 0.7584 0.2500 0.9175
```

Peak list (10 most intense, 15° ≤ 2θ ≤ 90°, in order of rising 2θ)
- 2θ = 25.58°, intensity 100
- 2θ = 26.73°, intensity 20
- 2θ = 27.95°, intensity 22
- 2θ = 28.13°, intensity 84
- 2θ = 30.27°, intensity 58
- 2θ = 30.76°, intensity 67
- 2θ = 34.18°, intensity 31
- 2θ = 37.61°, intensity 45
- 2θ = 46.64°, intensity 25
- 2θ = 59.59°, intensity 18